Structure and simulated powder XRD pattern of Cs2KBiF6 (the PBE geometry in the Materials Project; λ = 1.5418 Å (Cu Kα)).
Lines closer than 0.1° are merged.

Atomic structure:
```
data_Cs2KBiF6
_chemical_formula_sum 'Cs2 K1 Bi1 F6'
_symmetry_space_group_name_H-M 'P 1'
_symmetry_Int_Tables_number 1
_cell_length_a 6.907
_cell_length_b 6.907
_cell_length_c 6.907
_cell_angle_alpha 60.00
_cell_angle_beta 60.00
_cell_angle_gamma 60.00
loop_
_symmetry_equiv_pos_as_xyz
'x,y,z'
loop_
_atom_site_label
_atom_site_type_symbol
_atom_site_fract_x
_atom_site_fract_y
_atom_site_fract_z
Cs1 Cs 0.250 0.250 0.250
Cs2 Cs 0.750 0.750 0.750
K1 K 0.000 0.000 0.000
Bi1 Bi 0.500 0.500 0.500
F1 F 0.267 0.267 0.733
F2 F 0.267 0.733 0.267
F3 F 0.267 0.733 0.733
F4 F 0.733 0.267 0.267
F5 F 0.733 0.267 0.733
F6 F 0.733 0.733 0.267
```

Largest 10 diffraction maxima, low angle first, 2θ = 10–90°:
| d [Å] | I (rel.) |
| --- | --- |
| 5.640 | 29 |
| 3.453 | 100 |
| 2.945 | 16 |
| 2.442 | 35 |
| 1.994 | 43 |
| 1.727 | 23 |
| 1.544 | 20 |
| 1.305 | 23 |
| 1.151 | 12 |
| 1.092 | 10 |